Starting from a PBE-relaxed structure, the powder X-ray diffraction pattern of Ho4CdRu2Rh was calculated for a wavelength of 1.5418 Å.
Intensities are scaled so that the largest is 1000.

Atomic structure:
abc: 4.8952 4.8952 24.0767
angles: 90.00 90.00 120.00
Space group R-3m (No. 166, hexagonal axes)
One atom of each set of equivalent atoms:
Ho  0.0000  0.0000  0.1194 x6
Ho  0.0000  0.0000  0.3711 x6
Cd  0.0000  0.0000  0.5000 x3
Ru  0.0000  0.0000  0.2490 x6
Rh  0.0000  0.0000  0.0000 x3

Largest 10 diffraction maxima, by intensity, 2θ from 5° to 70°:
h k l	2theta	d (Å)	I_rel
1 1 0	36.72	2.448	1000
0 1 8	36.62	2.454	972
3 0 0	66.08	1.414	518
2 0 8	52.83	1.733	337
1 0 16	65.86	1.418	154
1 0 4	25.70	3.466	100
0 2 4	45.36	1.999	24
2 1 4	59.72	1.548	22
0 0 9	33.54	2.672	20
1 1 12	59.58	1.552	16

---

Starting from a PBE-relaxed structure, the powder X-ray diffraction pattern of HoTm2CdRh4 was calculated for a wavelength of 1.5418 Å.
Intensities are scaled so that the largest is 1000.

Atomic structure:
abc: 4.7311 4.7311 23.0794
angles: 90.00 90.00 120.00
Space group R-3m (No. 166, hexagonal axes)
One atom of each set of equivalent atoms:
Ho  0.0000  0.0000  0.0000 x3
Tm  0.0000  0.0000  0.2440 x6
Cd  0.0000  0.0000  0.5000 x3
Rh  0.0000  0.0000  0.1224 x6
Rh  0.0000  0.0000  0.3747 x6

Largest 10 diffraction maxima, by intensity, 2θ from 5° to 70°:
h k l	2theta	d (Å)	I_rel
1 1 0	38.04	2.366	1000
0 1 8	38.15	2.359	959
3 0 0	68.78	1.365	506
2 0 8	54.97	1.670	330
1 0 16	69.03	1.361	149
1 0 4	26.68	3.341	79
1 1 9	52.64	1.739	26
0 2 4	47.07	1.931	18
0 1 5	29.14	3.064	18
0 0 9	34.98	2.565	17

---

Starting from a PBE-relaxed structure, the powder X-ray diffraction pattern of Ho3ScCd was calculated for a wavelength of 1.5418 Å.
Intensities are scaled so that the largest is 1000.

Atomic structure:
abc: 21.4369 3.4393 8.0432
angles: 90.00 107.44 90.00
Space group C2/m (No. 12)
One atom of each set of equivalent atoms:
Ho  0.0152  0.0000  0.2275 x4
Ho  0.1239  0.5000  0.0439 x4
Ho  0.1773  0.0000  0.4450 x4
Sc  0.2326  0.5000  0.8223 x4
Cd  0.0795  0.5000  0.6038 x4

Largest 10 diffraction maxima, by intensity, 2θ from 5° to 70°:
h k l	2theta	d (Å)	I_rel
5 1 0	34.06	2.632	1000
8 0 -1	33.46	2.678	978
4 0 2	33.13	2.704	901
3 1 -1	29.85	2.994	731
1 1 -2	34.41	2.606	710
4 0 -3	34.17	2.624	592
3 1 -2	34.87	2.573	588
1 1 4	56.25	1.635	400
3 1 1	32.85	2.727	357
2 0 2	27.16	3.283	344

---

Starting from a PBE-relaxed structure, the powder X-ray diffraction pattern of Ho2Sc3Cd was calculated for a wavelength of 1.5418 Å.
Intensities are scaled so that the largest is 1000.

Atomic structure:
abc: 3.2694 16.3157 6.1342
angles: 90.00 90.00 90.00
Space group Imm2 (No. 44)
One atom of each set of equivalent atoms:
Ho  0.0000  0.1937  0.0000 x4
Sc  0.0000  0.1295  0.5101 x4
Sc  0.0000  0.5000  0.3017 x2
Cd  0.0000  0.0000  0.2001 x2

Largest 10 diffraction maxima, by intensity, 2θ from 5° to 70°:
h k l	2theta	d (Å)	I_rel
0 5 1	31.03	2.882	1000
0 6 0	32.93	2.720	644
0 2 2	31.15	2.871	538
1 3 2	43.76	2.069	501
2 5 1	65.72	1.421	396
0 3 1	21.83	4.071	341
1 1 0	27.83	3.206	294
1 3 0	31.94	2.802	274
0 1 1	15.43	5.742	262
0 8 2	54.05	1.697	250

---

Starting from a PBE-relaxed structure, the powder X-ray diffraction pattern of Ho12Sc6Cd was calculated for a wavelength of 1.5418 Å.
Intensities are scaled so that the largest is 1000.

Atomic structure:
abc: 11.4271 11.4271 14.6567
angles: 90.00 90.00 120.00
Space group R-3 (No. 148, hexagonal axes)
One atom of each set of equivalent atoms:
Ho  0.0129  0.8279  0.3167 x18
Ho  0.0481  0.2015  0.9127 x18
Sc  0.0298  0.5940  0.1936 x18
Cd  0.0000  0.0000  0.5000 x3

Largest 10 diffraction maxima, by intensity, 2θ from 5° to 70°:
h k l	2theta	d (Å)	I_rel
2 1 4	34.26	2.617	1000
4 -3 1	33.21	2.698	932
3 -1 1	24.56	3.624	731
0 1 5	31.84	2.811	653
0 3 3	32.76	2.734	410
7 -3 1	56.93	1.617	291
4 -1 2	34.91	2.570	288
4 -2 3	36.43	2.466	270
2 2 9	66.04	1.415	168
3 2 4	47.09	1.930	166

---

Starting from a PBE-relaxed structure, the powder X-ray diffraction pattern of Ho5Sc5Cd was calculated for a wavelength of 1.5418 Å.
Intensities are scaled so that the largest is 1000.

Atomic structure:
abc: 5.7852 5.7852 10.8354
angles: 90.00 90.00 120.00
Space group P-6m2 (No. 187)
One atom of each set of equivalent atoms:
Ho  0.0000  0.0000  0.0000 x1
Ho  0.3333  0.6667  0.3047 x2
Ho  0.6667  0.3333  0.1765 x2
Sc  0.0000  0.0000  0.2716 x2
Sc  0.3331  0.1665  0.5000 x3
Cd  0.3333  0.6667  0.0000 x1

Largest 10 diffraction maxima, by intensity, 2θ from 5° to 70°:
h k l	2theta	d (Å)	I_rel
1 1 0	30.91	2.893	1000
1 0 3	30.51	2.930	986
2 1 3	54.73	1.677	378
1 0 2	24.20	3.678	270
2 0 3	43.99	2.058	246
1 1 1	32.03	2.795	230
3 0 0	54.98	1.670	196
2 2 0	64.42	1.446	165
0 0 1	8.16	10.835	165
1 1 2	35.17	2.552	136